Entry 1:
This entry pairs a crystal structure of Ti3TlH with its computed X-ray powder pattern. Radiation: Cu Kα, 1.54184 Å. Structure: a DFT-relaxed cell (GGA-PBE, Alexandria).
Kinematic intensities with the Lorentz-polarization factor, no thermal factor.

Largest 6 diffraction maxima, low angle first, 2θ = 10–90°:
| (hkl) | 2θ (°) | I/Imax |
| --- | --- | --- |
| 0 0 1 | 14.7 | 66 |
| 1 1 -1 | 26.9 | 61 |
| 0 2 0 | 36.7 | 56 |
| 2 1 0 | 36.9 | 55 |
| 1 2 2 | 38.1 | 100 |
| 1 0 2 | 38.6 | 95 |

Crystal structure
```
data_Ti3TlH
_symmetry_space_group_name_H-M 'P 1'
_symmetry_Int_Tables_number 1
_symmetry_space_group_name_Hall 'P 1'
_cell_length_a 4.8690
_cell_length_b 5.7214
_cell_length_c 6.3881
_cell_angle_alpha 72.90
_cell_angle_beta 89.99
_cell_angle_gamma 64.91
loop_
_atom_site_label
_atom_site_fract_x
_atom_site_fract_y
_atom_site_fract_z
Ti1 0.0000 0.0000 0.0000
Ti2 0.0032 0.9976 0.4753
Ti3 0.2527 0.5172 0.8666
Ti4 0.2578 0.4969 0.3546
Ti5 0.4934 0.0274 0.2258
Ti6 0.7960 0.4702 0.1233
Tl1 0.5077 0.9903 0.7528
Tl2 0.7633 0.5038 0.6023
H1 0.2353 0.8473 0.2742
H2 0.4814 0.3675 0.1450
```

Entry 2:
This entry pairs a crystal structure of PrPaPb2O8 with its computed X-ray powder pattern. Radiation: Cu Kα, 1.54184 Å. Structure: a DFT-relaxed cell (GGA-PBE, Alexandria).
Kinematic intensities with the Lorentz-polarization factor, no thermal factor.

Largest 6 diffraction maxima, low angle first, 2θ = 10–90°:
| (hkl) | 2θ (°) | I/Imax |
| --- | --- | --- |
| 2 0 0 | 24.0 | 100 |
| 1 1 2 | 30.0 | 97 |
| 2 2 0 | 34.2 | 30 |
| 3 1 2 | 46.1 | 74 |
| 2 0 4 | 56.5 | 20 |
| 3 3 2 | 58.7 | 21 |

Crystal structure
```
data_PrPaPb2O8
_symmetry_space_group_name_H-M 'I -4 m 2'
_symmetry_Int_Tables_number 119
_symmetry_space_group_name_Hall 'I -4 -2'
_cell_length_a 7.4101
_cell_length_b 7.4101
_cell_length_c 7.2551
_cell_angle_alpha 90.00
_cell_angle_beta 90.00
_cell_angle_gamma 90.00
loop_
_atom_site_label
_atom_site_fract_x
_atom_site_fract_y
_atom_site_fract_z
Pr1 0.0000 0.0000 0.0000
Pa1 0.0000 0.5000 0.7500
Pb1 0.0000 0.0000 0.5000
Pb2 0.0000 0.5000 0.2500
O1 0.0000 0.1979 0.7049
O2 0.0000 0.3225 0.0277
```

Entry 3:
This entry pairs a crystal structure of Ti6InO3 with its computed X-ray powder pattern. Radiation: Cu Kα, 1.54184 Å. Structure: a DFT-relaxed cell (GGA-PBE, Alexandria).
Kinematic intensities with the Lorentz-polarization factor, no thermal factor.

Largest 6 diffraction maxima, low angle first, 2θ = 10–90°:
| (hkl) | 2θ (°) | I/Imax |
| --- | --- | --- |
| 0 0 6 | 36.7 | 55 |
| 1 1 3 | 36.9 | 100 |
| 0 2 1 | 37.5 | 73 |
| 2 0 2 | 39.1 | 58 |
| 0 2 4 | 44.8 | 57 |
| 2 0 5 | 48.7 | 42 |

Crystal structure
```
data_Ti6InO3
_symmetry_space_group_name_H-M 'R 3'
_symmetry_Int_Tables_number 146
_symmetry_space_group_name_Hall 'R 3'
_cell_length_a 5.6081
_cell_length_b 5.6081
_cell_length_c 14.6801
_cell_angle_alpha 90.00
_cell_angle_beta 90.00
_cell_angle_gamma 120.00
loop_
_atom_site_label
_atom_site_fract_x
_atom_site_fract_y
_atom_site_fract_z
Ti1 0.0025 0.3350 0.0000
Ti2 0.1453 0.8098 0.1667
In1 0.0000 0.0000 0.8350
O1 0.0000 0.0000 0.0739
O2 0.0000 0.0000 0.4028
O3 0.0000 0.0000 0.5945
```

Entry 4:
This entry pairs a crystal structure of Ta3Te4S2 with its computed X-ray powder pattern. Radiation: Cu Kα, 1.54184 Å. Structure: a DFT-relaxed cell (GGA-PBE, Alexandria).
Kinematic intensities with the Lorentz-polarization factor, no thermal factor.

Largest 6 diffraction maxima, low angle first, 2θ = 10–90°:
| (hkl) | 2θ (°) | I/Imax |
| --- | --- | --- |
| 0 0 3 | 10.1 | 45 |
| 0 0 4 | 13.5 | 42 |
| 1 0 0 | 29.0 | 44 |
| 1 0 6 | 35.7 | 100 |
| 1 0 9 | 42.7 | 26 |
| 1 1 0 | 51.4 | 31 |

Crystal structure
```
data_Ta3Te4S2
_symmetry_space_group_name_H-M 'P -6 m 2'
_symmetry_Int_Tables_number 187
_symmetry_space_group_name_Hall 'P -6 2'
_cell_length_a 3.5536
_cell_length_b 3.5536
_cell_length_c 26.2441
_cell_angle_alpha 90.00
_cell_angle_beta 90.00
_cell_angle_gamma 120.00
loop_
_atom_site_label
_atom_site_fract_x
_atom_site_fract_y
_atom_site_fract_z
Ta1 0.0000 0.0000 0.0000
Ta2 0.3333 0.6667 0.2613
Te1 0.0000 0.0000 0.1892
Te2 0.0000 0.0000 0.3339
S1 0.3333 0.6667 0.0571
```

Entry 5:
This entry pairs a crystal structure of NpNbS3 with its computed X-ray powder pattern. Radiation: Cu Kα, 1.54184 Å. Structure: a DFT-relaxed cell (GGA-PBE, Alexandria).
Kinematic intensities with the Lorentz-polarization factor, no thermal factor.

Largest 6 diffraction maxima, low angle first, 2θ = 10–90°:
| (hkl) | 2θ (°) | I/Imax |
| --- | --- | --- |
| 0 0 1 | 11.0 | 100 |
| 2 0 1 | 24.2 | 66 |
| 1 1 0 | 26.3 | 62 |
| 3 1 -3 | 37.5 | 86 |
| 1 1 2 | 37.6 | 92 |
| 5 1 -2 | 41.9 | 55 |

Crystal structure
```
data_NpNbS3
_symmetry_space_group_name_H-M 'C 1 2/m 1'
_symmetry_Int_Tables_number 12
_symmetry_space_group_name_Hall '-C 2y'
_cell_length_a 13.5906
_cell_length_b 3.5543
_cell_length_c 9.9318
_cell_angle_alpha 90.00
_cell_angle_beta 125.59
_cell_angle_gamma 90.00
loop_
_atom_site_label
_atom_site_fract_x
_atom_site_fract_y
_atom_site_fract_z
Np1 0.0862 0.0000 0.4156
Nb1 0.2505 0.0000 0.8814
S1 0.0996 0.0000 0.9461
S2 0.1079 0.5000 0.6642
S3 0.1735 0.5000 0.3071
```

Entry 6:
This entry pairs a crystal structure of PmNi3Ge with its computed X-ray powder pattern. Radiation: Cu Kα, 1.54184 Å. Structure: a DFT-relaxed cell (GGA-PBE, Alexandria).
Kinematic intensities with the Lorentz-polarization factor, no thermal factor.

Largest 6 diffraction maxima, low angle first, 2θ = 10–90°:
| (hkl) | 2θ (°) | I/Imax |
| --- | --- | --- |
| 0 0 4 | 30.7 | 37 |
| 1 1 0 | 31.1 | 41 |
| 2 0 2 | 39.4 | 100 |
| 2 0 3 | 43.2 | 35 |
| 2 0 5 | 54.0 | 24 |
| 2 2 0 | 64.9 | 24 |

Crystal structure
```
data_PmNi3Ge
_symmetry_space_group_name_H-M 'P 63/m m c'
_symmetry_Int_Tables_number 194
_symmetry_space_group_name_Hall '-P 6c 2c'
_cell_length_a 5.7448
_cell_length_b 5.7448
_cell_length_c 11.6313
_cell_angle_alpha 90.00
_cell_angle_beta 90.00
_cell_angle_gamma 120.00
loop_
_atom_site_label
_atom_site_fract_x
_atom_site_fract_y
_atom_site_fract_z
Pm1 0.0000 0.0000 0.0000
Pm2 0.3333 0.6667 0.2500
Ni1 0.0000 0.5000 0.0000
Ni2 0.1359 0.2718 0.7500
Ge1 0.3333 0.6667 0.6372
```